KVSO6: theoretical PXRD pattern (copper Kα), based on a crystal structure in Alexandria, relaxed with GGA+U.
Kinematic intensities with the Lorentz-polarization factor, no thermal factor.

Top 10 peaks for 2θ from 10° to 80°, low angle first:
two_theta	intensity	h k l
12.93	31	0 1 1
17.77	66	1 0 1
22.08	21	0 2 1
24.75	65	1 1 2
25.90	25	0 1 3
26.12	100	1 2 0
27.33	34	1 2 1
30.55	52	1 1 3
32.14	32	2 0 0
35.06	16	0 3 2

Cell and atoms:
```
KVSO6
1.0
5.570 0.000 0.000
0.000 8.624 0.000
0.000 0.000 11.252
K V S O
4 4 4 24
Cartesian
0.167 1.655 1.589
2.618 6.968 7.215
2.952 2.656 9.663
5.404 5.967 4.037
0.133 5.637 10.540
2.652 2.987 4.914
2.918 7.299 0.713
5.437 1.325 6.339
0.163 0.429 8.890
2.622 8.194 3.264
2.949 3.883 2.362
5.407 4.741 7.988
0.022 1.219 10.102
0.089 8.537 5.562
0.551 7.662 9.098
1.050 2.429 5.565
1.099 4.854 8.861
1.173 1.071 7.915
1.612 7.553 2.288
1.686 3.770 3.235
1.736 6.195 11.191
2.234 0.962 3.472
2.696 0.087 11.189
2.763 7.405 4.476
2.807 3.093 1.151
2.874 4.398 5.690
3.336 5.274 2.155
3.835 1.883 5.687
3.884 8.082 2.391
3.958 3.241 3.338
4.397 5.382 8.964
4.471 0.542 8.017
4.521 6.740 0.061
5.020 3.350 7.781
5.482 4.225 0.064
5.549 5.531 6.777
```